Theoretical powder XRD pattern
Compound: CaMgGa2Pd2
Radiation: Cu Kα, 1.54184 Å
Structure: a PBE-relaxed structure
Kinematic intensities with the Lorentz-polarization factor, no thermal factor.

Top 6 peaks for 2θ = 5–70°, low angle first:
Position (°2θ)	I_rel
12.64	39.1
23.38	30.4
26.67	29.6
34.82	84.5
41.10	100.0
57.62	39.1

Cell and atoms:
Cell lengths 4.3927, 4.3927, 7.0038 Å; angles 90.00, 90.00, 120.00 degrees
Fractional positions:
Ca: 0.0000 0.0000 0.0000
Mg: 0.0000 0.0000 0.5000
Ga: 0.3333 0.6667 0.7144
Ga: 0.6667 0.3333 0.2856
Pd: 0.3333 0.6667 0.3209
Pd: 0.6667 0.3333 0.6792

---

Theoretical powder XRD pattern
Compound: Y3ZnNi3
Radiation: Cu Kα, 1.54184 Å
Structure: a PBE-relaxed structure
Kinematic intensities with the Lorentz-polarization factor, no thermal factor.

Top 6 peaks for 2θ = 5–70°, low angle first:
Position (°2θ)	I_rel
31.04	50.2
34.74	86.3
36.09	99.6
40.62	100.0
42.10	35.9
43.40	60.0

Cell and atoms:
Cell lengths 5.3549, 5.3549, 13.0688 Å; angles 90.00, 90.00, 134.17 degrees
Fractional positions:
Y: 0.0123 0.9877 0.7500
Y: 0.2947 0.7053 0.6039
Y: 0.2947 0.7053 0.8961
Y: 0.7053 0.2947 0.1039
Y: 0.7053 0.2947 0.3961
Y: 0.9877 0.0123 0.2500
Zn: 0.0000 0.0000 0.0000
Zn: 0.0000 0.0000 0.5000
Ni: 0.2817 0.7183 0.2500
Ni: 0.4165 0.5835 0.0907
Ni: 0.4165 0.5835 0.4093
Ni: 0.5835 0.4165 0.5907
Ni: 0.5835 0.4165 0.9093
Ni: 0.7183 0.2817 0.7500

---

Theoretical powder XRD pattern
Compound: Fe3Ni3Ge2
Radiation: Cu Kα, 1.54184 Å
Structure: a PBE-relaxed structure
Kinematic intensities with the Lorentz-polarization factor, no thermal factor.

Top 3 peaks for 2θ = 5–70°, low angle first:
Position (°2θ)	I_rel
31.20	0.7
44.71	100.0
65.08	15.1

Cell and atoms:
Cell lengths 7.0246, 7.0246, 7.0246 Å; angles 33.53, 33.53, 33.53 degrees
Fractional positions:
Fe: 0.0000 0.0000 0.0000
Fe: 0.2480 0.2480 0.2480
Fe: 0.4989 0.4989 0.4989
Ni: 0.3745 0.3745 0.3745
Ni: 0.7500 0.7500 0.7500
Ni: 0.8741 0.8741 0.8741
Ge: 0.1236 0.1236 0.1236
Ge: 0.6247 0.6247 0.6247

---

Theoretical powder XRD pattern
Compound: NaBi6Pd6
Radiation: Cu Kα, 1.54184 Å
Structure: a PBE-relaxed structure
Kinematic intensities with the Lorentz-polarization factor, no thermal factor.

Top 6 peaks for 2θ = 5–70°, low angle first:
Position (°2θ)	I_rel
30.17	74.1
35.66	64.3
39.84	51.0
39.96	100.0
41.71	55.2
66.68	51.1

Cell and atoms:
Cell lengths 7.6125, 7.6125, 7.6125 Å; angles 134.37, 102.22, 95.10 degrees
Fractional positions:
Na: 0.0000 0.0000 0.0000
Bi: 0.1656 0.6656 0.5000
Bi: 0.3321 0.0000 0.3321
Bi: 0.3328 0.3328 0.0000
Bi: 0.6672 0.6672 0.0000
Bi: 0.6679 0.0000 0.6679
Bi: 0.8344 0.3344 0.5000
Pd: 0.0000 0.0000 0.5000
Pd: 0.0000 0.5000 0.0000
Pd: 0.2512 0.5000 0.7512
Pd: 0.5000 0.0000 0.0000
Pd: 0.5000 0.5000 0.5000
Pd: 0.7488 0.5000 0.2488

---

Theoretical powder XRD pattern
Compound: ScPd2Au4
Radiation: Cu Kα, 1.54184 Å
Structure: a PBE-relaxed structure
Kinematic intensities with the Lorentz-polarization factor, no thermal factor.

Top 6 peaks for 2θ = 5–70°, low angle first:
Position (°2θ)	I_rel
27.09	31.4
34.92	48.4
35.24	100.0
41.71	51.8
41.92	92.5
55.86	29.6

Cell and atoms:
Cell lengths 6.9953, 6.9953, 6.9953 Å; angles 109.75, 109.75, 108.91 degrees
Fractional positions:
Sc: 0.0000 0.0000 0.0000
Sc: 0.7500 0.2500 0.5000
Pd: 0.2397 0.1250 0.6147
Pd: 0.3750 0.7603 0.8853
Pd: 0.5103 0.6250 0.3853
Pd: 0.8750 0.4897 0.1147
Au: 0.1275 0.3807 0.4162
Au: 0.1307 0.3775 0.9162
Au: 0.2887 0.8725 0.2531
Au: 0.4613 0.2145 0.0838
Au: 0.6193 0.0355 0.7469
Au: 0.6225 0.5387 0.7531
Au: 0.7855 0.8693 0.2469
Au: 0.9645 0.7113 0.5838

---

Theoretical powder XRD pattern
Compound: Na4CuAs2O8
Radiation: Cu Kα, 1.54184 Å
Structure: a PBE-relaxed structure
Kinematic intensities with the Lorentz-polarization factor, no thermal factor.

Top 6 peaks for 2θ = 5–70°, low angle first:
Position (°2θ)	I_rel
18.50	84.8
23.34	33.0
30.90	39.4
31.99	100.0
32.17	39.3
36.75	46.2

Cell and atoms:
Cell lengths 4.9426, 6.0061, 7.0439 Å; angles 98.32, 91.18, 105.76 degrees
Fractional positions:
Na: 0.1635 0.2612 0.0748
Na: 0.2859 0.5705 0.6675
Na: 0.7141 0.4295 0.3325
Na: 0.8365 0.7388 0.9252
Cu: 0.0000 0.0000 0.5000
As: 0.3975 0.8015 0.2347
As: 0.6025 0.1985 0.7653
O: 0.2359 0.5665 0.3439
O: 0.2366 0.1497 0.7381
O: 0.3122 0.7244 0.9932
O: 0.3160 0.0580 0.3311
O: 0.6840 0.9420 0.6689
O: 0.6878 0.2756 0.0068
O: 0.7634 0.8503 0.2619
O: 0.7641 0.4335 0.6561